The following is a computed powder diffraction line list of SiBMoBr2. It was derived from a cell relaxed with PBE, using CuKα.
Intensities are scaled so that the largest is 100.

Crystal structure
Lattice parameters (Å, degrees): 4.6392 4.6392 4.5300 90.00 90.00 90.00
Space group P4/mmm (No. 123)
Unique sites:
Si  0.0000  0.0000  0.0000
B  0.5000  0.5000  0.5000
Mo  0.5000  0.5000  0.0000
Br  0.0000  0.5000  0.5000

Main lines, in order of falling intensity (2θ = 10–90°):
| d_spacing | I_rel | (hkl) |
| --- | --- | --- |
| 2.657 | 100 | 1 1 1 |
| 2.320 | 37 | 2 0 0 |
| 1.396 | 26 | 3 1 1 |
| 1.621 | 24 | 2 0 2 |
| 2.265 | 17 | 0 0 2 |
| 4.639 | 16 | 1 0 0 |